The following is a simulated powder diffractogram of BaZnCrF7. It was derived from the GGA+U geometry in Alexandria, using λ = 1.5418 Å (Cu Kα).
Neutral-atom scattering factors, no anomalous dispersion.

Cell and atoms:
Unit cell a=5.6827 b=10.0687 c=9.7137 alpha=90.00 beta=93.14 gamma=90.00
Fractional positions:
Ba 0.2397 0.1776 0.0014
Ba 0.2397 0.3224 0.5014
Ba 0.7603 0.6776 0.4986
Ba 0.7603 0.8224 0.9986
Zn 0.1950 0.6014 0.8116
Zn 0.1950 0.8986 0.3116
Zn 0.8050 0.1014 0.6884
Zn 0.8050 0.3986 0.1884
Cr 0.3044 0.6126 0.1876
Cr 0.3044 0.8874 0.6876
Cr 0.6956 0.1126 0.3124
Cr 0.6956 0.3874 0.8124
F 0.0243 0.7062 0.2483
F 0.0243 0.7938 0.7483
F 0.1119 0.5436 0.6244
F 0.1119 0.9564 0.1244
F 0.1388 0.0497 0.6309
F 0.1388 0.4503 0.1309
F 0.2365 0.6903 0.0024
F 0.2365 0.8097 0.5024
F 0.3884 0.5431 0.3670
F 0.3884 0.9569 0.8670
F 0.3932 0.0548 0.3765
F 0.3932 0.4452 0.8765
F 0.4735 0.7239 0.7461
F 0.4735 0.7761 0.2461
F 0.5265 0.2239 0.7539
F 0.5265 0.2761 0.2539
F 0.6068 0.5548 0.1235
F 0.6068 0.9452 0.6235
F 0.6116 0.0431 0.1330
F 0.6116 0.4569 0.6330
F 0.7635 0.1903 0.4976
F 0.7635 0.3097 0.9976
F 0.8612 0.5497 0.8691
F 0.8612 0.9503 0.3691
F 0.8881 0.0436 0.8756
F 0.8881 0.4564 0.3756
F 0.9757 0.2062 0.2517
F 0.9757 0.2938 0.7517

Principal peaks in the range 2θ = 15–90°, sorted by position:
hkl 1 2 -1, 2θ = 25.07°, I = 100; hkl 1 1 2, 2θ = 26.35°, I = 52; hkl 0 1 3, 2θ = 29.01°, I = 25; hkl 2 0 0, 2θ = 31.53°, I = 21; hkl 0 3 3, 2θ = 38.67°, I = 16; hkl 2 2 -2, 2θ = 40.14°, I = 23; hkl 1 4 1, 2θ = 40.49°, I = 31; hkl 0 2 4, 2θ = 41.33°, I = 18; hkl 3 2 -1, 2θ = 52.03°, I = 22; hkl 1 2 5, 2θ = 53.95°, I = 18